Entry 1:
The following is a theoretical X-ray powder pattern of RbYTe2O6. It was derived from a cell relaxed with PBE, using a wavelength of 1.5418 Å.

Most intense lines, 2θ = 10–90°, low angle first:
(2 0 2), 2θ 23.2, 3.828 Å, intensity 35; (3 1 1), 2θ 26.0, 3.427 Å, intensity 46; (2 1 2), 2θ 27.5, 3.243 Å, intensity 100; (0 2 0), 2θ 29.3, 3.051 Å, intensity 34; (4 1 0), 2θ 29.5, 3.025 Å, intensity 37; (2 3 2), 2θ 50.8, 1.796 Å, intensity 18; (5 2 3), 2θ 53.7, 1.706 Å, intensity 17; (3 1 5), 2θ 56.0, 1.641 Å, intensity 19

Cell and atoms:
```
data_RbYTe2O6
_cell_length_a 13.9310
_cell_length_b 6.1024
_cell_length_c 9.1625
_cell_angle_alpha 90.00
_cell_angle_beta 90.00
_cell_angle_gamma 90.00
_symmetry_space_group_name_H-M 'P n m a'
_symmetry_Int_Tables_number 62
loop_
_symmetry_equiv_pos_as_xyz
'x,y,z'
'-x,-y,-z'
'-x+1/2,-y,z+1/2'
'x+1/2,y,-z+1/2'
'x+1/2,-y+1/2,-z+1/2'
'-x+1/2,y+1/2,z+1/2'
'-x,y+1/2,-z'
'x,-y+1/2,z'
loop_
_atom_site_label
_atom_site_type_symbol
_atom_site_fract_x
_atom_site_fract_y
_atom_site_fract_z
_atom_site_occupancy
Rb1 Rb 0.1241 0.2500 0.0033 1
Y1 Y 0.0995 0.7500 0.7024 1
Te1 Te 0.0729 0.7500 0.2899 1
Te2 Te 0.1960 0.2500 0.4903 1
O1 O 0.0026 0.5134 0.2110 1
O2 O 0.0248 0.7500 0.4817 1
O3 O 0.1749 0.7500 0.9246 1
O4 O 0.2049 0.0109 0.6204 1
```


Entry 2:
The following is a theoretical X-ray powder pattern of Rb5ThO4. It was derived from a cell relaxed with PBE, using a wavelength of 1.5418 Å.

Most intense lines, 2θ = 10–90°, low angle first:
(0 0 1), 2θ 11.2, 7.922 Å, intensity 66; (2 0 2), 2θ 24.6, 3.613 Å, intensity 39; (6 0 0), 2θ 25.8, 3.455 Å, intensity 47; (3 1 0), 2θ 26.7, 3.345 Å, intensity 100; (4 0 -2), 2θ 27.3, 3.264 Å, intensity 52; (4 0 2), 2θ 29.4, 3.041 Å, intensity 34; (1 1 -2), 2θ 32.6, 2.745 Å, intensity 78; (1 1 2), 2θ 33.1, 2.708 Å, intensity 40

Cell and atoms:
```
data_Rb5ThO4
_cell_length_a 20.7854
_cell_length_b 3.8222
_cell_length_c 7.9434
_cell_angle_alpha 90.00
_cell_angle_beta 94.21
_cell_angle_gamma 90.00
_symmetry_space_group_name_H-M 'C 1 2/m 1'
_symmetry_Int_Tables_number 12
loop_
_symmetry_equiv_pos_as_xyz
'x,y,z'
'-x,-y,-z'
'-x,y,-z'
'x,-y,z'
'x+1/2,y+1/2,z'
'-x+1/2,-y+1/2,-z'
'-x+1/2,y+1/2,-z'
'x+1/2,-y+1/2,z'
loop_
_atom_site_label
_atom_site_type_symbol
_atom_site_fract_x
_atom_site_fract_y
_atom_site_fract_z
_atom_site_occupancy
Rb1 Rb 0.0000 0.0000 0.0000 1
Rb2 Rb 0.1414 0.5000 0.3070 1
Rb3 Rb 0.1414 0.5000 0.7514 1
Th1 Th 0.0000 0.0000 0.5000 1
O1 O 0.0004 0.5000 0.3033 1
O2 O 0.1088 0.0000 0.5218 1
```